Record 1
Structure and simulated powder X-ray diffraction pattern of Pr4Ge3 (the GGA-PBE geometry in Alexandria; CuKα).
Intensities are scaled so that the largest is 100.

The 12 most intense peaks (2θ = 10–90°), in order of rising 2θ:
2θ/deg, I (rel.), (hkl)
23.53, 9, 2 1 1
27.24, 16, 2 2 0
30.53, 100, 3 1 0
36.30, 59, 3 2 1
45.97, 9, 3 3 2
48.14, 17, 4 2 2
50.24, 34, 4 3 1
61.75, 22, 6 1 1
63.54, 11, 6 2 0
65.30, 14, 5 4 1
70.45, 7, 4 4 4
75.43, 15, 7 2 1

Atomic structure:
Cell lengths 9.2606, 9.2606, 9.2606 Å; angles 90.00, 90.00, 90.00 degrees
Space group I-43d (No. 220)
Symmetry-distinct sites (fractional):
Pr: 0.0651 0.4349 0.5651 (multiplicity 16)
Ge: 0.0000 0.2500 0.8750 (multiplicity 12)

Record 2
Structure and simulated powder X-ray diffraction pattern of CaYTlIn (the GGA-PBE geometry in Alexandria; CuKα).
Intensities are scaled so that the largest is 100.

The 12 most intense peaks (2θ = 10–90°), in order of rising 2θ:
2θ/deg, I (rel.), (hkl)
11.51, 14, 0 0 1
23.13, 10, 0 0 2
23.30, 19, 1 0 0
33.06, 100, 1 0 2
33.18, 50, 1 1 0
40.84, 9, 1 1 2
47.28, 9, 0 0 4
47.63, 18, 2 0 0
58.98, 18, 1 1 4
59.21, 37, 2 1 2
69.38, 11, 2 0 4
79.33, 16, 3 1 0

Atomic structure:
Cell lengths 3.8182, 3.8182, 7.6898 Å; angles 90.00, 90.00, 90.00 degrees
Space group P4mm (No. 99)
Symmetry-distinct sites (fractional):
Ca: 0.0000 0.0000 0.0000 (multiplicity 1)
Y: 0.0000 0.0000 0.4976 (multiplicity 1)
Tl: 0.5000 0.5000 0.7451 (multiplicity 1)
In: 0.5000 0.5000 0.2554 (multiplicity 1)

Record 3
Structure and simulated powder X-ray diffraction pattern of PrY2Th (the GGA-PBE geometry in Alexandria; CuKα).
Intensities are scaled so that the largest is 100.

The 12 most intense peaks (2θ = 10–90°), in order of rising 2θ:
2θ/deg, I (rel.), (hkl)
15.74, 40, 0 0 2
25.92, 21, 1 0 0
30.45, 100, 1 1 2
30.53, 33, 1 1 -2
31.05, 75, 0 2 2
31.38, 71, 0 2 -2
31.78, 70, 0 0 4
32.25, 57, 1 2 0
42.40, 24, 1 3 0
61.24, 22, 2 3 2
61.44, 21, 2 3 -2
61.68, 21, 2 1 4

Atomic structure:
Cell lengths 3.5579, 6.8903, 11.2620 Å; angles 89.33, 89.94, 75.09 degrees
Space group P-1 (No. 2)
Symmetry-distinct sites (fractional):
Pr: 0.1302 0.2410 0.4874 (multiplicity 2)
Y: 0.2568 0.9867 0.7573 (multiplicity 2)
Y: 0.4781 0.5419 0.2429 (multiplicity 2)
Th: 0.1258 0.2472 0.0120 (multiplicity 2)